# 1
This entry pairs a crystal structure of Nd5SmEr3 with its computed X-ray powder pattern. Radiation: Cu Kα X-rays. Structure: a structure optimized by DFT (GGA-PBE).
No peak broadening, texture or thermal motion is included.

Top 6 peaks for 2θ from 5° to 70°, sorted by position:
28.5 deg, I = 57.3, (2 1 3); 28.9 deg, I = 100.0, (2 0 4); 31.5 deg, I = 35.6, (2 2 0); 34.1 deg, I = 23.9, (2 1 5); 37.3 deg, I = 26.4, (0 0 8); 49.6 deg, I = 19.7, (2 2 8)

Cell: 8.030 8.030 19.280 Å, 90.00 90.00 90.00°
Space group I4/mcm (No. 140)
Symmetry-distinct sites (fractional):
Nd 0.000 0.000 0.000 (multiplicity 4)
Nd 0.204 0.296 0.133 (multiplicity 16)
Sm 0.000 0.500 0.250 (multiplicity 4)
Er 0.000 0.000 0.250 (multiplicity 4)
Er 0.129 0.371 0.500 (multiplicity 8)

=====

# 2
This entry pairs a crystal structure of Nd5Sm3Er4 with its computed X-ray powder pattern. Radiation: Cu Kα X-rays. Structure: a structure optimized by DFT (GGA-PBE).
No peak broadening, texture or thermal motion is included.

Top 6 peaks for 2θ from 5° to 70°, sorted by position:
28.9 deg, I = 64.8, (5 1 -1); 30.4 deg, I = 100.0, (1 1 2); 30.8 deg, I = 75.6, (0 2 0); 31.0 deg, I = 51.7, (4 0 -3); 31.9 deg, I = 37.3, (5 1 0); 44.2 deg, I = 40.9, (4 2 -3)

Cell: 18.282 5.802 8.815 Å, 90.00 118.63 90.00°
Space group C2/m (No. 12)
Symmetry-distinct sites (fractional):
Nd 0.000 0.000 0.000 (multiplicity 2)
Nd 0.108 0.500 0.428 (multiplicity 4)
Nd 0.159 0.500 0.886 (multiplicity 4)
Sm 0.000 0.500 0.000 (multiplicity 2)
Sm 0.184 0.000 0.215 (multiplicity 4)
Er 0.031 0.000 0.697 (multiplicity 4)
Er 0.202 0.000 0.646 (multiplicity 4)

=====

# 3
This entry pairs a crystal structure of Nd2Sm7Er4 with its computed X-ray powder pattern. Radiation: Cu Kα X-rays. Structure: a structure optimized by DFT (GGA-PBE).
No peak broadening, texture or thermal motion is included.

Top 6 peaks for 2θ from 5° to 70°, sorted by position:
30.2 deg, I = 71.3, (1 0 3); 31.0 deg, I = 41.4, (2 0 -1); 31.4 deg, I = 100.0, (-1 2 2); 35.1 deg, I = 35.2, (2 -2 1); 35.9 deg, I = 30.8, (1 0 -4); 36.9 deg, I = 27.1, (1 2 1)

Cell: 6.219 6.940 10.728 Å, 90.91 93.58 108.85°
Space group P-1 (No. 2)
Symmetry-distinct sites (fractional):
Nd 0.237 0.104 0.432 (multiplicity 2)
Sm 0.000 0.500 0.500 (multiplicity 1)
Sm 0.063 0.885 0.139 (multiplicity 2)
Sm 0.339 0.953 0.727 (multiplicity 2)
Sm 0.426 0.460 0.707 (multiplicity 2)
Er 0.056 0.398 0.144 (multiplicity 2)
Er 0.500 0.257 0.005 (multiplicity 2)

=====

# 4
This entry pairs a crystal structure of Nd3Sm4Er2 with its computed X-ray powder pattern. Radiation: Cu Kα X-rays. Structure: a structure optimized by DFT (GGA-PBE).
No peak broadening, texture or thermal motion is included.

Top 6 peaks for 2θ from 5° to 70°, sorted by position:
28.4 deg, I = 51.7, (1 0 0); 29.9 deg, I = 54.0, (0 0 9); 31.5 deg, I = 74.4, (1 0 4); 33.0 deg, I = 100.0, (0 1 5); 50.4 deg, I = 40.6, (1 1 0); 59.7 deg, I = 45.8, (1 1 9)

Cell: 3.6237 3.6237 26.9066 Å, 90.00 90.00 120.00°
Space group P3m1 (No. 156)
Symmetry-distinct sites (fractional):
Nd 0.0000 0.0000 0.0000 (multiplicity 1)
Nd 0.0000 0.0000 0.3379 (multiplicity 1)
Nd 0.6667 0.3333 0.6726 (multiplicity 1)
Sm 0.0000 0.0000 0.5603 (multiplicity 1)
Sm 0.0000 0.0000 0.7851 (multiplicity 1)
Sm 0.6667 0.3333 0.2304 (multiplicity 1)
Sm 0.6667 0.3333 0.4520 (multiplicity 1)
Er 0.6667 0.3333 0.1052 (multiplicity 1)
Er 0.6667 0.3333 0.8901 (multiplicity 1)